Theoretical PXRD pattern
Compound: Rb2PaBiO6
Radiation: Cu Ka
Structure: a DFT-relaxed cell (GGA-PBE, Alexandria)
Lines closer than 0.1° are merged.

Most intense lines, 5° ≤ 2θ ≤ 70°, sorted by position:
2θ (°)  intensity
20.42  30
29.04  100
35.77  3
41.54  29
46.71  15
51.48  42
60.19  19
64.26  7
68.20  19

Cell and atoms:
```
data_Rb2PaBiO6
_cell_length_a 6.149
_cell_length_b 6.149
_cell_length_c 6.149
_cell_angle_alpha 60.00
_cell_angle_beta 60.00
_cell_angle_gamma 60.00
_symmetry_space_group_name_H-M 'P 1'
_symmetry_Int_Tables_number 1
_symmetry_space_group_name_Hall 'P 1'
loop_
_atom_site_label
_atom_site_type_symbol
_atom_site_fract_x
_atom_site_fract_y
_atom_site_fract_z
Rb1 Rb 0.250 0.250 0.250
Rb2 Rb 0.750 0.750 0.750
Pa1 Pa 0.000 0.000 0.000
Bi1 Bi 0.500 0.500 0.500
O1 O 0.250 0.250 0.750
O2 O 0.250 0.750 0.250
O3 O 0.250 0.750 0.750
O4 O 0.750 0.250 0.250
O5 O 0.750 0.250 0.750
O6 O 0.750 0.750 0.250
```



Theoretical PXRD pattern
Compound: PaBiRhO6
Radiation: Cu Ka
Structure: a DFT-relaxed cell (GGA-PBE, Alexandria)
Lines closer than 0.1° are merged.

Most intense lines, 5° ≤ 2θ ≤ 70°, sorted by position:
2θ (°)  intensity
19.64  12
24.93  100
31.90  90
35.54  30
48.50  72
51.14  18
57.71  18
60.74  19
61.55  21
66.69  11

Cell and atoms:
```
data_PaBiRhO6
_cell_length_a 5.052
_cell_length_b 5.052
_cell_length_c 10.118
_cell_angle_alpha 90.00
_cell_angle_beta 90.00
_cell_angle_gamma 90.00
_symmetry_space_group_name_H-M 'P 1'
_symmetry_Int_Tables_number 1
_symmetry_space_group_name_Hall 'P 1'
loop_
_atom_site_label
_atom_site_type_symbol
_atom_site_fract_x
_atom_site_fract_y
_atom_site_fract_z
Pa1 Pa 0.000 0.000 0.000
Pa2 Pa 0.500 0.500 0.500
Bi1 Bi 0.000 0.000 0.667
Bi2 Bi 0.500 0.500 0.167
Rh1 Rh 0.000 0.000 0.334
Rh2 Rh 0.500 0.500 0.834
O1 O 0.179 0.179 0.174
O2 O 0.192 0.192 0.480
O3 O 0.211 0.211 0.844
O4 O 0.289 0.711 0.344
O5 O 0.308 0.692 0.980
O6 O 0.321 0.679 0.674
O7 O 0.679 0.321 0.674
O8 O 0.692 0.308 0.980
O9 O 0.711 0.289 0.344
O10 O 0.789 0.789 0.844
O11 O 0.808 0.808 0.480
O12 O 0.821 0.821 0.174
```



Theoretical PXRD pattern
Compound: PaBiSb2O8
Radiation: Cu Ka
Structure: a DFT-relaxed cell (GGA-PBE, Alexandria)
Lines closer than 0.1° are merged.

Most intense lines, 5° ≤ 2θ ≤ 70°, sorted by position:
2θ (°)  intensity
17.27  18
24.23  100
30.27  97
34.54  28
46.58  72
49.65  17
55.99  18
57.13  19
59.26  20
62.96  13

Cell and atoms:
```
data_PaBiSb2O8
_cell_length_a 6.313
_cell_length_b 6.313
_cell_length_c 6.313
_cell_angle_alpha 108.85
_cell_angle_beta 108.85
_cell_angle_gamma 110.71
_symmetry_space_group_name_H-M 'P 1'
_symmetry_Int_Tables_number 1
_symmetry_space_group_name_Hall 'P 1'
loop_
_atom_site_label
_atom_site_type_symbol
_atom_site_fract_x
_atom_site_fract_y
_atom_site_fract_z
Pa1 Pa 0.000 0.000 0.000
Bi1 Bi 0.750 0.250 0.500
Sb1 Sb 0.250 0.750 0.500
Sb2 Sb 0.500 0.500 0.000
O1 O 0.041 0.334 0.293
O2 O 0.041 0.747 0.707
O3 O 0.128 0.308 0.819
O4 O 0.253 0.959 0.293
O5 O 0.489 0.308 0.181
O6 O 0.666 0.959 0.707
O7 O 0.692 0.511 0.819
O8 O 0.692 0.872 0.181
```



Theoretical PXRD pattern
Compound: PaBi2SbO8
Radiation: Cu Ka
Structure: a DFT-relaxed cell (GGA-PBE, Alexandria)
Lines closer than 0.1° are merged.

Most intense lines, 5° ≤ 2θ ≤ 70°, sorted by position:
2θ (°)  intensity
24.00  58
24.58  51
30.93  100
34.62  32
46.78  41
47.43  36
56.56  11
58.55  10
59.76  22
64.46  11

Cell and atoms:
```
data_PaBi2SbO8
_cell_length_a 5.183
_cell_length_b 5.183
_cell_length_c 6.967
_cell_angle_alpha 90.00
_cell_angle_beta 90.00
_cell_angle_gamma 91.35
_symmetry_space_group_name_H-M 'P 1'
_symmetry_Int_Tables_number 1
_symmetry_space_group_name_Hall 'P 1'
loop_
_atom_site_label
_atom_site_type_symbol
_atom_site_fract_x
_atom_site_fract_y
_atom_site_fract_z
Pa1 Pa 0.000 0.000 0.000
Bi1 Bi 0.500 0.500 0.261
Bi2 Bi 0.500 0.500 0.739
Sb1 Sb 0.000 0.000 0.500
O1 O 0.176 0.824 0.268
O2 O 0.176 0.824 0.732
O3 O 0.274 0.274 0.500
O4 O 0.290 0.290 0.000
O5 O 0.710 0.710 0.000
O6 O 0.726 0.726 0.500
O7 O 0.824 0.176 0.268
O8 O 0.824 0.176 0.732
```



Theoretical PXRD pattern
Compound: PaTlBi2O8
Radiation: Cu Ka
Structure: a DFT-relaxed cell (GGA-PBE, Alexandria)
Lines closer than 0.1° are merged.

Most intense lines, 5° ≤ 2θ ≤ 70°, sorted by position:
2θ (°)  intensity
24.49  92
29.57  100
34.90  28
46.38  71
48.80  9
50.19  16
55.33  20
56.62  17
59.34  19
61.39  13

Cell and atoms:
```
data_PaTlBi2O8
_cell_length_a 6.353
_cell_length_b 6.353
_cell_length_c 6.353
_cell_angle_alpha 110.19
_cell_angle_beta 110.19
_cell_angle_gamma 108.04
_symmetry_space_group_name_H-M 'P 1'
_symmetry_Int_Tables_number 1
_symmetry_space_group_name_Hall 'P 1'
loop_
_atom_site_label
_atom_site_type_symbol
_atom_site_fract_x
_atom_site_fract_y
_atom_site_fract_z
Pa1 Pa 0.000 0.000 0.000
Tl1 Tl 0.250 0.750 0.500
Bi1 Bi 0.500 0.500 0.000
Bi2 Bi 0.750 0.250 0.500
O1 O 0.286 0.099 0.813
O2 O 0.286 0.473 0.187
O3 O 0.331 0.035 0.296
O4 O 0.527 0.714 0.813
O5 O 0.738 0.035 0.704
O6 O 0.901 0.714 0.187
O7 O 0.965 0.262 0.296
O8 O 0.965 0.669 0.704
```



Theoretical PXRD pattern
Compound: PaTlBiO6
Radiation: Cu Ka
Structure: a DFT-relaxed cell (GGA-PBE, Alexandria)
Lines closer than 0.1° are merged.

Most intense lines, 5° ≤ 2θ ≤ 70°, sorted by position:
2θ (°)  intensity
13.26  32
25.70  100
26.35  28
26.71  13
27.54  64
34.02  21
41.70  17
44.95  14
47.20  15
52.82  28

Cell and atoms:
```
data_PaTlBiO6
_cell_length_a 8.072
_cell_length_b 8.072
_cell_length_c 8.072
_cell_angle_alpha 121.82
_cell_angle_beta 118.90
_cell_angle_gamma 89.40
_symmetry_space_group_name_H-M 'P 1'
_symmetry_Int_Tables_number 1
_symmetry_space_group_name_Hall 'P 1'
loop_
_atom_site_label
_atom_site_type_symbol
_atom_site_fract_x
_atom_site_fract_y
_atom_site_fract_z
Pa1 Pa 0.000 0.000 0.000
Pa2 Pa 0.500 0.000 0.500
Tl1 Tl 0.296 0.546 0.750
Tl2 Tl 0.704 0.454 0.250
Bi1 Bi 0.000 0.000 0.500
Bi2 Bi 0.000 0.500 0.000
O1 O 0.052 0.314 0.123
O2 O 0.052 0.930 0.738
O3 O 0.077 0.327 0.750
O4 O 0.301 0.051 0.250
O5 O 0.309 0.070 0.623
O6 O 0.309 0.686 0.238
O7 O 0.691 0.314 0.762
O8 O 0.691 0.930 0.377
O9 O 0.699 0.949 0.750
O10 O 0.923 0.673 0.250
O11 O 0.948 0.070 0.262
O12 O 0.948 0.686 0.877
```



Theoretical PXRD pattern
Compound: Pa2ZnBiO8
Radiation: Cu Ka
Structure: a DFT-relaxed cell (GGA-PBE, Alexandria)
Lines closer than 0.1° are merged.

Most intense lines, 5° ≤ 2θ ≤ 70°, sorted by position:
2θ (°)  intensity
18.41  13
28.63  100
32.77  13
33.38  23
38.38  4
47.47  33
47.92  16
55.98  16
56.78  31
59.27  11

Cell and atoms:
```
data_Pa2ZnBiO8
_cell_length_a 6.655
_cell_length_b 6.655
_cell_length_c 6.655
_cell_angle_alpha 132.42
_cell_angle_beta 132.42
_cell_angle_gamma 69.56
_symmetry_space_group_name_H-M 'P 1'
_symmetry_Int_Tables_number 1
_symmetry_space_group_name_Hall 'P 1'
loop_
_atom_site_label
_atom_site_type_symbol
_atom_site_fract_x
_atom_site_fract_y
_atom_site_fract_z
Pa1 Pa 0.000 0.000 0.000
Pa2 Pa 0.750 0.250 0.500
Zn1 Zn 0.500 0.500 0.000
Bi1 Bi 0.250 0.750 0.500
O1 O 0.064 0.067 0.427
O2 O 0.152 0.617 0.973
O3 O 0.363 0.936 0.003
O4 O 0.383 0.356 0.535
O5 O 0.640 0.637 0.573
O6 O 0.644 0.179 0.027
O7 O 0.821 0.848 0.465
O8 O 0.933 0.360 0.997
```



Theoretical PXRD pattern
Compound: BiPbO3
Radiation: Cu Ka
Structure: a DFT-relaxed cell (GGA-PBE, Alexandria)
Lines closer than 0.1° are merged.

Most intense lines, 5° ≤ 2θ ≤ 70°, sorted by position:
2θ (°)  intensity
26.54  100
26.93  49
29.67  44
31.80  82
43.24  20
43.74  24
47.38  27
51.68  17
53.32  18
57.12  13

Cell and atoms:
```
data_BiPbO3
_cell_length_a 5.659
_cell_length_b 4.185
_cell_length_c 7.643
_cell_angle_alpha 90.00
_cell_angle_beta 95.86
_cell_angle_gamma 90.00
_symmetry_space_group_name_H-M 'P 1'
_symmetry_Int_Tables_number 1
_symmetry_space_group_name_Hall 'P 1'
loop_
_atom_site_label
_atom_site_type_symbol
_atom_site_fract_x
_atom_site_fract_y
_atom_site_fract_z
Bi1 Bi 0.232 0.250 0.399
Bi2 Bi 0.768 0.750 0.601
Pb1 Pb 0.289 0.250 0.865
Pb2 Pb 0.711 0.750 0.135
O1 O 0.004 0.250 0.620
O2 O 0.279 0.750 0.945
O3 O 0.499 0.250 0.630
O4 O 0.501 0.750 0.370
O5 O 0.721 0.250 0.055
O6 O 0.996 0.750 0.380
```